Simulated powder diffraction line list of PrRe4Se8 for CuKα, from the GGA-PBE geometry in Alexandria.

```
PrRe4Se8
1.0
6.4645 -3.7396 0.0000
6.4645 3.7396 0.0000
-4.3042 0.0000 6.5054
Pr Re Se
1 4 8
Direct
0.0000 0.0000 0.0000
0.0000 0.0000 0.5000
0.0000 0.5000 0.5000
0.5000 0.0000 0.5000
0.5000 0.5000 0.5000
0.2383 0.2383 0.7146
0.2477 0.7333 0.7139
0.2668 0.2668 0.2860
0.2667 0.7523 0.2861
0.7333 0.2477 0.7139
0.7332 0.7332 0.7140
0.7523 0.2667 0.2861
0.7617 0.7617 0.2854
```

Main lines, by angle (2θ = 10–90°):
| two_theta | I_rel |
| --- | --- |
| 13.61 | 69 |
| 27.95 | 21 |
| 33.23 | 100 |
| 42.82 | 19 |
| 46.63 | 35 |
| 48.75 | 35 |

---

Simulated powder diffraction line list of PrRe2Si3 for CuKα, from the GGA-PBE geometry in Alexandria.

```
PrRe2Si3
1.0
4.9030 -3.8253 0.0000
4.9030 3.8253 0.0000
0.0000 0.0000 5.5752
Pr Re Si
2 4 6
Direct
0.1652 0.8348 0.7500
0.8348 0.1652 0.2500
0.2979 0.2979 0.0000
0.2979 0.2979 0.5000
0.7021 0.7021 0.0000
0.7021 0.7021 0.5000
0.0352 0.6075 0.2500
0.3925 0.9648 0.2500
0.4288 0.5712 0.2500
0.5712 0.4288 0.7500
0.6075 0.0352 0.7500
0.9648 0.3925 0.7500
```

Main lines, by angle (2θ = 10–90°):
| two_theta | I_rel |
| --- | --- |
| 29.62 | 97 |
| 29.72 | 97 |
| 33.84 | 72 |
| 37.10 | 100 |
| 40.02 | 93 |
| 44.28 | 93 |

---

Simulated powder diffraction line list of Pr3Rh for CuKα, from the GGA-PBE geometry in Alexandria.

```
Pr3Rh
1.0
-6.1025 6.1025 3.1467
6.1025 -6.1025 3.1467
6.1025 6.1025 -3.1467
Pr Rh
12 4
Direct
0.0000 0.3578 0.3578
0.0000 0.6422 0.6422
0.1083 0.1083 0.5960
0.1579 0.3442 0.0000
0.3442 0.1579 0.0000
0.3578 0.0000 0.3578
0.4877 0.8917 0.0000
0.5123 0.5123 0.4040
0.6422 0.0000 0.6422
0.6558 0.6558 0.8137
0.8421 0.8421 0.1863
0.8917 0.4877 0.0000
0.1951 0.5000 0.6951
0.5000 0.1951 0.6951
0.5000 0.8049 0.3049
0.8049 0.5000 0.3049
```

Main lines, by angle (2θ = 10–90°):
| two_theta | I_rel |
| --- | --- |
| 29.97 | 99 |
| 30.23 | 97 |
| 31.09 | 71 |
| 32.82 | 46 |
| 33.45 | 100 |
| 35.30 | 44 |

---

Simulated powder diffraction line list of Pr3Rh for CuKα, from the GGA-PBE geometry in Alexandria.

```
Pr3Rh
1.0
-1.8968 5.4824 2.8836
1.8968 -5.4824 2.8836
1.8968 5.4824 -2.8836
Pr Rh
3 1
Direct
0.0000 0.0000 0.0000
0.3020 0.4983 0.8037
0.6946 0.4983 0.1963
0.4396 0.9396 0.5000
```

Main lines, by angle (2θ = 10–90°):
| two_theta | I_rel |
| --- | --- |
| 28.92 | 24 |
| 31.01 | 31 |
| 32.64 | 100 |
| 47.94 | 17 |
| 56.21 | 16 |
| 58.20 | 20 |

---

Simulated powder diffraction line list of Pr2Rh17 for CuKα, from the GGA-PBE geometry in Alexandria.

```
Pr2Rh17
1.0
4.5230 2.6114 4.3860
-4.5230 2.6114 4.3860
0.0000 -5.2227 4.3860
Pr Rh
2 17
Direct
0.1606 0.1606 0.1606
0.8394 0.8394 0.8394
0.0000 0.5000 0.5000
0.1510 0.1510 0.6525
0.1510 0.6525 0.1510
0.2050 0.5000 0.7950
0.2050 0.7950 0.5000
0.3475 0.8490 0.8490
0.3998 0.3998 0.3998
0.5000 0.0000 0.5000
0.5000 0.2050 0.7950
0.5000 0.5000 0.0000
0.5000 0.7950 0.2050
0.6002 0.6002 0.6002
0.6525 0.1510 0.1510
0.7950 0.2050 0.5000
0.7950 0.5000 0.2050
0.8490 0.3475 0.8490
0.8490 0.8490 0.3475
```

Main lines, by angle (2θ = 10–90°):
| two_theta | I_rel |
| --- | --- |
| 34.34 | 35 |
| 35.64 | 29 |
| 39.86 | 64 |
| 40.19 | 100 |
| 41.16 | 36 |
| 45.11 | 61 |

---

Simulated powder diffraction line list of Pr3Rh2 for CuKα, from the GGA-PBE geometry in Alexandria.

```
Pr3Rh2
1.0
4.4885 2.5914 5.6338
-4.4885 2.5914 5.6338
0.0000 -5.1829 5.6338
Pr Rh
9 6
Direct
0.0000 0.0000 0.0000
0.1640 0.3907 0.6661
0.2039 0.2039 0.2039
0.3339 0.8360 0.6093
0.3907 0.6661 0.1640
0.6093 0.3339 0.8360
0.6661 0.1640 0.3907
0.7961 0.7961 0.7961
0.8360 0.6093 0.3339
0.0426 0.8390 0.4092
0.1610 0.5908 0.9574
0.4092 0.0426 0.8390
0.5908 0.9574 0.1610
0.8390 0.4092 0.0426
0.9574 0.1610 0.5908
```

Main lines, by angle (2θ = 10–90°):
| two_theta | I_rel |
| --- | --- |
| 30.89 | 64 |
| 31.77 | 36 |
| 32.25 | 100 |
| 34.61 | 70 |
| 37.27 | 69 |
| 37.70 | 67 |

---

Simulated powder diffraction line list of Pr4RuRh for CuKα, from the GGA-PBE geometry in Alexandria.

```
Pr4RuRh
1.0
4.5942 -6.8595 0.0000
4.5942 6.8595 0.0000
-3.7170 0.0000 5.3492
Pr Ru Rh
8 2 2
Direct
0.0413 0.6887 0.8949
0.2357 0.3684 0.7326
0.3113 0.9587 0.6051
0.3684 0.2357 0.2326
0.6316 0.7643 0.7674
0.6887 0.0413 0.3949
0.7643 0.6316 0.2674
0.9587 0.3113 0.1051
0.0036 0.9964 0.2500
0.9964 0.0036 0.7500
0.3622 0.6378 0.2500
0.6378 0.3622 0.7500
```

Main lines, by angle (2θ = 10–90°):
| two_theta | I_rel |
| --- | --- |
| 30.11 | 81 |
| 30.97 | 100 |
| 32.74 | 76 |
| 34.58 | 49 |
| 38.51 | 45 |
| 40.95 | 48 |

---

Simulated powder diffraction line list of Pr3Sb5Rh6 for CuKα, from the GGA-PBE geometry in Alexandria.

```
Pr3Sb5Rh6
1.0
4.3484 0.0000 0.0000
0.0000 13.3859 0.0000
0.0000 0.0000 10.2630
Pr Sb Rh
6 10 12
Direct
0.2500 0.0812 0.2495
0.2500 0.4188 0.2495
0.2500 0.7500 0.2506
0.7500 0.2500 0.7494
0.7500 0.5812 0.7505
0.7500 0.9188 0.7505
0.2500 0.0819 0.8530
0.2500 0.4181 0.8530
0.2500 0.6291 0.5230
0.2500 0.7500 0.8519
0.2500 0.8709 0.5230
0.7500 0.1291 0.4770
0.7500 0.2500 0.1481
0.7500 0.3709 0.4770
0.7500 0.5819 0.1470
0.7500 0.9181 0.1470
0.2500 0.0577 0.5990
0.2500 0.2500 0.4924
0.2500 0.2500 0.9952
0.2500 0.4423 0.5990
0.2500 0.5831 0.0028
0.2500 0.9169 0.0028
0.7500 0.0831 0.9972
0.7500 0.4169 0.9972
0.7500 0.5577 0.4010
0.7500 0.7500 0.0048
0.7500 0.7500 0.5076
0.7500 0.9423 0.4010
```

Main lines, by angle (2θ = 10–90°):
| two_theta | I_rel |
| --- | --- |
| 32.99 | 23 |
| 33.32 | 34 |
| 33.66 | 100 |
| 40.43 | 23 |
| 41.53 | 36 |
| 59.36 | 16 |